For Ba2LaMgTaCu2O8, DFT lattice parameters and positions (GGA-PBE) gives the computed powder diffraction line list in this record (CuKα).
Lines closer than 0.1° are merged.

Cell and atoms:
```
Ba2LaMgTaCu2O8
1.0
4.098 0.000 0.000
0.000 4.098 0.000
0.000 0.000 13.617
Ba La Mg Ta Cu O
2 1 1 1 2 8
direct
0.000 0.000 0.246
0.000 0.000 0.754
0.000 0.000 0.500
0.000 0.000 0.000
0.500 0.500 0.000
0.500 0.500 0.389
0.500 0.500 0.611
0.000 0.500 0.000
0.000 0.500 0.382
0.000 0.500 0.618
0.500 0.000 0.000
0.500 0.000 0.382
0.500 0.000 0.618
0.500 0.500 0.144
0.500 0.500 0.856
```

Main lines, sorted by position (2θ = 10–90°):
2θ/deg	intensity
22.7	36.9
25.4	62.2
29.4	60.3
30.9	100.0
34.2	55.2
40.9	45.9
44.2	61.0
53.9	37.2